Structure and simulated powder X-ray diffraction pattern of Ba3Tl2In2Pd4 (the GGA-PBE geometry in Alexandria; copper Kα).

Main lines, in order of falling intensity (2θ from 15° to 90°):
2theta, I/Imax
37.43, 100
30.69, 72
26.97, 63
54.87, 46
34.93, 22
38.62, 21
49.15, 19
63.37, 18
67.52, 18
24.00, 16

```
data_Ba3Tl2In2Pd4
_symmetry_space_group_name_H-M 'P 1'
_symmetry_Int_Tables_number 1
_symmetry_space_group_name_Hall 'P 1'
_cell_length_a 4.8059
_cell_length_b 4.8059
_cell_length_c 16.3201
_cell_angle_alpha 90.00
_cell_angle_beta 90.00
_cell_angle_gamma 120.00
loop_
_atom_site_label
_atom_site_fract_x
_atom_site_fract_y
_atom_site_fract_z
Ba1 0.0000 0.0000 0.0000
Ba2 0.0000 0.0000 0.2833
Ba3 0.0000 0.0000 0.7167
Tl1 0.3333 0.6667 0.5654
Tl2 0.6667 0.3333 0.4346
In1 0.3333 0.6667 0.1438
In2 0.6667 0.3333 0.8562
Pd1 0.3333 0.6667 0.3922
Pd2 0.3333 0.6667 0.8615
Pd3 0.6667 0.3333 0.1385
Pd4 0.6667 0.3333 0.6078
```


Structure and simulated powder X-ray diffraction pattern of LiBeH6Pb (the GGA-PBE geometry in Alexandria; copper Kα).

Main lines, in order of falling intensity (2θ from 15° to 90°):
2theta, I/Imax
29.79, 100
22.19, 89
19.63, 36
43.96, 30
46.09, 28
38.93, 25
49.78, 25
64.94, 23
56.95, 18
45.26, 15

```
data_LiBeH6Pb
_symmetry_space_group_name_H-M 'P 1'
_symmetry_Int_Tables_number 1
_symmetry_space_group_name_Hall 'P 1'
_cell_length_a 4.6268
_cell_length_b 4.6268
_cell_length_c 4.5224
_cell_angle_alpha 90.00
_cell_angle_beta 90.00
_cell_angle_gamma 120.00
loop_
_atom_site_label
_atom_site_fract_x
_atom_site_fract_y
_atom_site_fract_z
Li1 0.0000 0.0000 0.0000
Be1 0.3333 0.6667 0.0000
H1 0.0559 0.3840 0.2062
H2 0.0559 0.6719 0.7938
H3 0.3281 0.3840 0.7938
H4 0.3281 0.9441 0.2062
H5 0.6160 0.6719 0.2062
H6 0.6160 0.9441 0.7938
Pb1 0.6667 0.3333 0.5000
```